Record 1
Computed powder diffraction line list
Compound: Y3Cu2Rh
Radiation: Cu Kα
Structure: a DFT-relaxed cell (PBE, Alexandria)
Peak positions follow from Bragg's law for the DFT cell and can differ from measured ones.

Most intense lines, 2θ = 15–90°, low angle first:
2θ (°)	d/Å	I (rel.)
20.9	4.246	1
25.7	3.471	1
36.6	2.454	100
52.7	1.735	17
65.8	1.419	9
66.0	1.416	25
77.7	1.228	5
77.9	1.226	5
89.2	1.098	7
89.3	1.097	7

Atomic structure:
abc: 4.9034 4.9034 6.0241
angles: 90.00 90.00 120.00
Space group P-3m1 (No. 164)
One atom of each set of equivalent atoms:
1 Y 0.0000 0.0000 0.0000 [1 per cell]
2 Y 0.3333 0.6667 0.6614 [2 per cell]
3 Cu 0.3333 0.6667 0.1592 [2 per cell]
4 Rh 0.0000 0.0000 0.5000 [1 per cell]

---

Record 2
Computed powder diffraction line list
Compound: ZnCuRh
Radiation: Cu Kα
Structure: a DFT-relaxed cell (PBE, Alexandria)
Peak positions follow from Bragg's law for the DFT cell and can differ from measured ones.

Most intense lines, 2θ = 15–90°, low angle first:
2θ (°)	d/Å	I (rel.)
20.3	4.378	3
31.3	2.859	6
42.3	2.139	53
43.1	2.101	100
60.5	1.530	2
61.3	1.512	17
63.8	1.459	7
70.4	1.337	1
77.8	1.227	32
79.5	1.206	15

Atomic structure:
abc: 3.0250 3.0250 8.7570
angles: 90.00 90.00 90.00
Space group I4mm (No. 107)
One atom of each set of equivalent atoms:
1 Zn 0.0000 0.0000 0.0000 [2 per cell]
2 Cu 0.0000 0.0000 0.3420 [2 per cell]
3 Rh 0.0000 0.0000 0.6691 [2 per cell]

---

Record 3
Computed powder diffraction line list
Compound: ZnCu4Rh
Radiation: Cu Kα
Structure: a DFT-relaxed cell (PBE, Alexandria)
Peak positions follow from Bragg's law for the DFT cell and can differ from measured ones.

Most intense lines, 2θ = 15–90°, low angle first:
2θ (°)	d/Å	I (rel.)
42.3	2.138	100
47.8	1.904	17
49.3	1.850	16
50.6	1.804	14
71.0	1.327	10
72.1	1.310	9
85.2	1.139	12
87.4	1.116	11
89.4	1.096	5
89.5	1.095	5

Atomic structure:
abc: 8.1146 3.8088 5.1639
angles: 90.00 107.10 90.00
Space group C2/m (No. 12)
One atom of each set of equivalent atoms:
1 Zn 0.0000 0.0000 0.0000 [2 per cell]
2 Cu 0.1662 0.5000 0.3310 [4 per cell]
3 Cu 0.1702 0.5000 0.8337 [4 per cell]
4 Rh 0.0000 0.0000 0.5000 [2 per cell]

---

Record 4
Computed powder diffraction line list
Compound: ZnCu2Rh3
Radiation: Cu Kα
Structure: a DFT-relaxed cell (PBE, Alexandria)
Peak positions follow from Bragg's law for the DFT cell and can differ from measured ones.

Most intense lines, 2θ = 15–90°, low angle first:
2θ (°)	d/Å	I (rel.)
37.7	2.386	27
40.7	2.215	34
41.9	2.158	65
43.3	2.091	100
43.4	2.086	99
46.1	1.971	51
59.8	1.546	21
72.1	1.309	21
77.4	1.234	17
77.6	1.231	17

Atomic structure:
abc: 5.1700 4.4301 7.1102
angles: 90.00 93.99 90.00
Space group P2/c (No. 13)
One atom of each set of equivalent atoms:
1 Zn 0.0000 0.1826 0.2500 [2 per cell]
2 Cu 0.3375 0.1850 0.5852 [4 per cell]
3 Rh 0.1667 0.3130 0.9172 [4 per cell]
4 Rh 0.5000 0.3139 0.2500 [2 per cell]

---

Record 5
Computed powder diffraction line list
Compound: ZnCu6Rh
Radiation: Cu Kα
Structure: a DFT-relaxed cell (PBE, Alexandria)
Peak positions follow from Bragg's law for the DFT cell and can differ from measured ones.

Most intense lines, 2θ = 15–90°, low angle first:
2θ (°)	d/Å	I (rel.)
28.8	3.095	2
39.8	2.264	25
42.7	2.120	27
45.4	1.997	100
59.8	1.547	14
72.3	1.307	15
80.0	1.199	17
85.8	1.132	2
87.7	1.113	18
89.6	1.094	13

Atomic structure:
abc: 5.2291 5.2291 4.2392
angles: 90.00 90.00 120.00
Space group P-6m2 (No. 187)
One atom of each set of equivalent atoms:
1 Zn 0.0000 0.0000 0.0000 [1 per cell]
2 Cu 0.0024 0.5012 0.0000 [3 per cell]
3 Cu 0.1690 0.3379 0.5000 [3 per cell]
4 Rh 0.6667 0.3333 0.5000 [1 per cell]

---

Record 6
Computed powder diffraction line list
Compound: Zr4CuRh
Radiation: Cu Kα
Structure: a DFT-relaxed cell (PBE, Alexandria)
Peak positions follow from Bragg's law for the DFT cell and can differ from measured ones.

Most intense lines, 2θ = 15–90°, low angle first:
2θ (°)	d/Å	I (rel.)
34.6	2.596	100
38.3	2.351	14
38.9	2.315	34
43.0	2.102	45
43.6	2.077	35
59.9	1.543	15
60.8	1.523	19
66.3	1.410	14
69.6	1.350	22
86.6	1.124	11

Atomic structure:
abc: 6.6486 6.6486 5.3211
angles: 90.00 90.00 90.00
Space group I422 (No. 97)
One atom of each set of equivalent atoms:
1 Zr 0.1606 0.3394 0.2500 [8 per cell]
2 Cu 0.0000 0.0000 0.5000 [2 per cell]
3 Rh 0.0000 0.0000 0.0000 [2 per cell]

---

Record 7
Computed powder diffraction line list
Compound: Zr6CuRh
Radiation: Cu Kα
Structure: a DFT-relaxed cell (PBE, Alexandria)
Peak positions follow from Bragg's law for the DFT cell and can differ from measured ones.

Most intense lines, 2θ = 15–90°, low angle first:
2θ (°)	d/Å	I (rel.)
30.0	2.979	33
30.4	2.936	28
33.0	2.716	46
33.8	2.650	22
34.2	2.620	100
37.8	2.382	21
38.6	2.333	83
48.3	1.886	35
52.3	1.751	34
52.8	1.734	33

Atomic structure:
abc: 6.0964 10.8637 6.0306
angles: 90.00 119.60 90.00
Space group C2/m (No. 12)
One atom of each set of equivalent atoms:
1 Zr 0.2443 0.2069 0.2474 [8 per cell]
2 Zr 0.2482 0.0000 0.7543 [4 per cell]
3 Cu 0.0000 0.0000 0.0000 [2 per cell]
4 Rh 0.0000 0.5000 0.5000 [2 per cell]

---

Record 8
Computed powder diffraction line list
Compound: Zr4Cu3Rh2
Radiation: Cu Kα
Structure: a DFT-relaxed cell (PBE, Alexandria)
Peak positions follow from Bragg's law for the DFT cell and can differ from measured ones.

Most intense lines, 2θ = 15–90°, low angle first:
2θ (°)	d/Å	I (rel.)
24.9	3.570	11
37.6	2.389	100
40.2	2.241	100
46.3	1.962	12
56.3	1.634	30
71.4	1.320	28
73.2	1.294	16
75.8	1.256	10
77.4	1.232	11
87.0	1.120	10

Atomic structure:
abc: 4.4813 4.4813 9.0960
angles: 90.00 90.00 120.00
Space group P-3m1 (No. 164)
One atom of each set of equivalent atoms:
1 Zr 0.0000 0.0000 0.1574 [2 per cell]
2 Zr 0.3333 0.6667 0.6176 [2 per cell]
3 Cu 0.0000 0.0000 0.5000 [1 per cell]
4 Cu 0.3333 0.6667 0.0074 [2 per cell]
5 Rh 0.3333 0.6667 0.3134 [2 per cell]